Starting from DFT lattice parameters and positions (GGA-PBE), the powder X-ray diffraction pattern of EuInPt4 was calculated for Cu Kα (weighted mean of Kα1 and Kα2).
Lines closer than 0.1° are merged.

Structure:
```
EuInPt4
1.0
0.000 3.848 3.848
3.848 0.000 3.848
3.848 3.848 0.000
Eu In Pt
1 1 4
Cartesian
0.000 0.000 0.000
5.772 5.772 5.772
2.889 2.889 2.889
4.807 4.807 2.889
4.807 2.889 4.807
2.889 4.807 4.807
```

Main lines, low angle first (2θ from 10° to 90°):
19.98°, d 4.443, rel. 19.9
32.92°, d 2.721, rel. 17.3
38.81°, d 2.320, rel. 100.0
40.61°, d 2.222, rel. 52.5
62.73°, d 1.481, rel. 32.8
69.03°, d 1.361, rel. 30.2
82.12°, d 1.174, rel. 11.7
83.28°, d 1.160, rel. 20.6